Diffraction record for CaMoPt. The X-ray powder pattern is simulated, not measured: it uses a cell relaxed with GGA-PBE and λ = 1.5418 Å (Cu Kα).
Neutral-atom scattering factors, no anomalous dispersion.

Cell and atoms:
a = 5.0809 Å, b = 5.7513 Å, c = 8.0209 Å
α = 90.00°, β = 90.00°, γ = 90.00°
Space group Imma (No. 74)
One atom of each set of equivalent atoms:
Ca (0.0000, 0.2500, 0.1227) (multiplicity 4)
Mo (0.2500, 0.2500, 0.7500) (multiplicity 4)
Pt (0.0000, 0.0000, 0.5000) (multiplicity 4)

Most intense lines, 15 to 90 degrees two-theta, sorted by position:
hkl 1 0 1, d 4.292, I = 100
hkl 1 2 1, d 2.389, I = 85
hkl 1 0 3, d 2.366, I = 41
hkl 0 2 2, d 2.337, I = 68
hkl 2 0 2, d 2.146, I = 54
hkl 2 2 4, d 1.381, I = 33



Diffraction record for CaMoPt. The X-ray powder pattern is simulated, not measured: it uses a cell relaxed with GGA-PBE and λ = 1.5418 Å (Cu Kα).
Neutral-atom scattering factors, no anomalous dispersion.

Cell and atoms:
a = 3.3861 Å, b = 4.4681 Å, c = 8.6757 Å
α = 104.84°, β = 101.11°, γ = 90.01°
Space group P1 (No. 1)
One atom of each set of equivalent atoms:
Ca (0.0000, 0.0000, 0.0000) (multiplicity 1)
Ca (0.3532, 0.3560, 0.7120) (multiplicity 1)
Mo (0.1770, 0.8095, 0.3562) (multiplicity 1)
Mo (0.6767, 0.2133, 0.3559) (multiplicity 1)
Pt (0.5550, 0.5544, 0.1100) (multiplicity 1)
Pt (0.7987, 0.8008, 0.6024) (multiplicity 1)

Most intense lines, 15 to 90 degrees two-theta, sorted by position:
hkl 0 1 -1, d 4.312, I = 49
hkl 1 0 0, d 3.316, I = 32
hkl 1 1 -1, d 2.699, I = 34
hkl 0 1 2, d 2.648, I = 47
hkl 1 1 1, d 2.257, I = 100
hkl 1 1 -3, d 2.253, I = 33



Diffraction record for CaMoPt. The X-ray powder pattern is simulated, not measured: it uses a cell relaxed with GGA-PBE and λ = 1.5418 Å (Cu Kα).
Neutral-atom scattering factors, no anomalous dispersion.

Cell and atoms:
a = 16.1957 Å, b = 4.7284 Å, c = 3.1247 Å
α = 90.00°, β = 90.46°, γ = 90.00°
Space group C2 (No. 5)
One atom of each set of equivalent atoms:
Ca (0.1808, 0.0000, 0.0094) (multiplicity 4)
Mo (0.0000, 0.3321, 0.0000) (multiplicity 2)
Mo (0.0000, 0.9344, 0.5000) (multiplicity 2)
Pt (0.1300, 0.5011, 0.5057) (multiplicity 4)

Most intense lines, 15 to 90 degrees two-theta, sorted by position:
hkl 1 1 0, d 4.539, I = 67
hkl 3 1 0, d 3.557, I = 70
hkl 5 1 0, d 2.672, I = 59
hkl 3 1 -1, d 2.354, I = 96
hkl 3 1 1, d 2.341, I = 100
hkl 4 2 0, d 2.040, I = 65



Diffraction record for CaMo2Pt2. The X-ray powder pattern is simulated, not measured: it uses a cell relaxed with GGA-PBE and λ = 1.5418 Å (Cu Kα).
Neutral-atom scattering factors, no anomalous dispersion.

Cell and atoms:
a = 8.0414 Å, b = 8.0414 Å, c = 2.7701 Å
α = 90.00°, β = 90.00°, γ = 90.00°
Space group P4/mbm (No. 127)
One atom of each set of equivalent atoms:
Ca (0.0000, 0.0000, 0.0000) (multiplicity 2)
Mo (0.1147, 0.3853, 0.0000) (multiplicity 4)
Pt (0.1760, 0.6760, 0.5000) (multiplicity 4)

Most intense lines, 15 to 90 degrees two-theta, sorted by position:
hkl 1 1 0, d 5.686, I = 36
hkl 2 1 0, d 3.596, I = 24
hkl 3 1 0, d 2.543, I = 41
hkl 2 0 1, d 2.281, I = 30
hkl 2 1 1, d 2.195, I = 100
hkl 4 1 0, d 1.950, I = 28



Diffraction record for Ca2MoRh. The X-ray powder pattern is simulated, not measured: it uses a cell relaxed with GGA-PBE and λ = 1.5418 Å (Cu Kα).
Neutral-atom scattering factors, no anomalous dispersion.

Cell and atoms:
a = 3.1836 Å, b = 4.3176 Å, c = 7.2466 Å
α = 90.00°, β = 102.47°, γ = 90.00°
Space group Pm (No. 6)
One atom of each set of equivalent atoms:
Ca (0.0000, 0.0000, 0.0000) (multiplicity 1)
Ca (0.2786, 0.5000, 0.6192) (multiplicity 1)
Mo (0.6835, 0.5000, 0.2400) (multiplicity 1)
Rh (0.5819, 0.0000, 0.3807) (multiplicity 1)

Most intense lines, 15 to 90 degrees two-theta, sorted by position:
hkl 0 1 2, d 2.736, I = 100
hkl 1 0 1, d 2.644, I = 78
hkl 1 1 -1, d 2.520, I = 79
hkl 1 1 -2, d 2.249, I = 49
hkl 0 1 3, d 2.070, I = 52
hkl 1 2 1, d 1.672, I = 48



Diffraction record for CaMo3Ru. The X-ray powder pattern is simulated, not measured: it uses a cell relaxed with GGA-PBE and λ = 1.5418 Å (Cu Kα).
Neutral-atom scattering factors, no anomalous dispersion.

Cell and atoms:
a = 4.7980 Å, b = 4.7980 Å, c = 4.7980 Å
α = 90.00°, β = 90.00°, γ = 90.00°
Space group Pm-3m (No. 221)
One atom of each set of equivalent atoms:
Ca (0.0000, 0.0000, 0.0000) (multiplicity 1)
Mo (0.0000, 0.5000, 0.5000) (multiplicity 3)
Ru (0.5000, 0.5000, 0.5000) (multiplicity 1)

Most intense lines, 15 to 90 degrees two-theta, sorted by position:
hkl 1 0 0, d 4.798, I = 79
hkl 1 1 1, d 2.770, I = 57
hkl 2 0 0, d 2.399, I = 100
hkl 2 1 0, d 2.146, I = 38
hkl 2 2 0, d 1.696, I = 67
hkl 2 2 2, d 1.385, I = 22



Diffraction record for Ca4MoSe. The X-ray powder pattern is simulated, not measured: it uses a cell relaxed with GGA-PBE and λ = 1.5418 Å (Cu Kα).
Neutral-atom scattering factors, no anomalous dispersion.

Cell and atoms:
a = 9.1912 Å, b = 9.1912 Å, c = 9.1912 Å
α = 90.00°, β = 90.00°, γ = 90.00°
Space group F-43m (No. 216)
One atom of each set of equivalent atoms:
Ca (0.1241, 0.1241, 0.1241) (multiplicity 16)
Mo (0.2500, 0.2500, 0.7500) (multiplicity 4)
Se (0.0000, 0.0000, 0.5000) (multiplicity 4)

Most intense lines, 15 to 90 degrees two-theta, sorted by position:
hkl 2 2 0, d 3.250, I = 55
hkl 3 1 1, d 2.771, I = 100
hkl 4 2 2, d 1.876, I = 22
hkl 3 3 3, d 1.769, I = 33
hkl 4 4 0, d 1.625, I = 25
hkl 7 3 1, d 1.197, I = 19



Diffraction record for CaMoSe2. The X-ray powder pattern is simulated, not measured: it uses a cell relaxed with GGA-PBE and λ = 1.5418 Å (Cu Kα).
Neutral-atom scattering factors, no anomalous dispersion.

Cell and atoms:
a = 5.8964 Å, b = 5.8964 Å, c = 12.9653 Å
α = 90.00°, β = 90.00°, γ = 90.00°
Space group I-42d (No. 122)
One atom of each set of equivalent atoms:
Ca (0.0000, 0.0000, 0.0000) (multiplicity 4)
Mo (0.0000, 0.0000, 0.5000) (multiplicity 4)
Se (0.1886, 0.2500, 0.6250) (multiplicity 8)

Most intense lines, 15 to 90 degrees two-theta, sorted by position:
hkl 1 0 1, d 5.367, I = 31
hkl 1 1 2, d 3.507, I = 100
hkl 2 0 4, d 2.181, I = 48
hkl 2 2 0, d 2.085, I = 18
hkl 1 1 6, d 1.919, I = 17
hkl 3 1 2, d 1.791, I = 25



Diffraction record for SrCa2Mo. The X-ray powder pattern is simulated, not measured: it uses a cell relaxed with GGA-PBE and λ = 1.5418 Å (Cu Kα).
Neutral-atom scattering factors, no anomalous dispersion.

Cell and atoms:
a = 3.8048 Å, b = 3.8043 Å, c = 9.5018 Å
α = 90.00°, β = 90.11°, γ = 90.00°
Space group Pm (No. 6)
One atom of each set of equivalent atoms:
Sr (0.0000, 0.0000, 0.0000) (multiplicity 1)
Ca (0.0018, 0.0000, 0.3857) (multiplicity 1)
Ca (0.5015, 0.5000, 0.6718) (multiplicity 1)
Mo (0.5010, 0.5000, 0.2119) (multiplicity 1)

Most intense lines, 15 to 90 degrees two-theta, sorted by position:
hkl 1 0 2, d 2.970, I = 100
hkl 1 1 0, d 2.690, I = 49
hkl 1 1 -1, d 2.588, I = 13
hkl 1 0 -3, d 2.434, I = 29
hkl 2 0 0, d 1.902, I = 21
hkl 2 1 2, d 1.602, I = 29



Diffraction record for Ca2Ta2Mo. The X-ray powder pattern is simulated, not measured: it uses a cell relaxed with GGA-PBE and λ = 1.5418 Å (Cu Kα).
Neutral-atom scattering factors, no anomalous dispersion.

Cell and atoms:
a = 6.6597 Å, b = 6.6597 Å, c = 5.5095 Å
α = 90.00°, β = 90.00°, γ = 90.00°
Space group P4/mbm (No. 127)
One atom of each set of equivalent atoms:
Ca (0.1767, 0.3233, 0.0000) (multiplicity 4)
Ta (0.1471, 0.6471, 0.5000) (multiplicity 4)
Mo (0.0000, 0.0000, 0.5000) (multiplicity 2)

Most intense lines, 15 to 90 degrees two-theta, sorted by position:
hkl 0 0 1, d 5.510, I = 94
hkl 2 1 0, d 2.978, I = 28
hkl 0 0 2, d 2.755, I = 37
hkl 2 1 1, d 2.620, I = 100
hkl 3 1 0, d 2.106, I = 27
hkl 3 1 1, d 1.967, I = 27



Diffraction record for Ca2Te4Mo. The X-ray powder pattern is simulated, not measured: it uses a cell relaxed with GGA-PBE and λ = 1.5418 Å (Cu Kα).
Neutral-atom scattering factors, no anomalous dispersion.

Cell and atoms:
a = 5.4544 Å, b = 5.4544 Å, c = 15.5368 Å
α = 90.00°, β = 90.00°, γ = 90.00°
Space group I4/mmm (No. 139)
One atom of each set of equivalent atoms:
Ca (0.0000, 0.0000, 0.1269) (multiplicity 4)
Te (0.0000, 0.0000, 0.3212) (multiplicity 4)
Te (0.0000, 0.5000, 0.0000) (multiplicity 4)
Mo (0.0000, 0.0000, 0.5000) (multiplicity 2)

Most intense lines, 15 to 90 degrees two-theta, sorted by position:
hkl 1 0 1, d 5.147, I = 45
hkl 1 1 2, d 3.455, I = 76
hkl 2 0 0, d 2.727, I = 100
hkl 1 0 5, d 2.700, I = 52
hkl 2 1 5, d 1.919, I = 37
hkl 2 0 6, d 1.878, I = 47



Diffraction record for Ca3N2. The X-ray powder pattern is simulated, not measured: it uses a cell relaxed with GGA-PBE and λ = 1.5418 Å (Cu Kα).
Neutral-atom scattering factors, no anomalous dispersion.

Cell and atoms:
a = 3.8971 Å, b = 3.8971 Å, c = 13.2371 Å
α = 90.00°, β = 90.00°, γ = 120.00°
Space group P6_3/mmc (No. 194)
One atom of each set of equivalent atoms:
Ca (0.0000, 0.0000, 0.2500) (multiplicity 2)
Ca (0.3333, 0.6667, 0.0861) (multiplicity 4)
N (0.0000, 0.0000, 0.0000) (multiplicity 2)
N (0.3333, 0.6667, 0.7500) (multiplicity 2)

Most intense lines, 15 to 90 degrees two-theta, sorted by position:
hkl 1 0 2, d 3.007, I = 32
hkl 1 0 3, d 2.681, I = 100
hkl 1 0 4, d 2.363, I = 49
hkl 0 0 6, d 2.206, I = 20
hkl 1 1 0, d 1.949, I = 57
hkl 1 1 6, d 1.460, I = 28